# 1
Diffraction record for Mg6NbSb. The XRD peak list is theoretical, not measured: it uses a DFT-relaxed cell (PBE, the Materials Project) and λ = 1.5418 Å (Cu Kα).
No peak broadening, texture or thermal motion is included.

Largest 10 diffraction maxima, in order of rising 2θ, 2θ from 10° to 90°:
- 2θ = 16.16°, d 5.483, I = 55
- 2θ = 16.82°, d 5.271, I = 50
- 2θ = 23.41°, d 3.800, I = 46
- 2θ = 34.01°, d 2.636, I = 45
- 2θ = 34.24°, d 2.619, I = 36
- 2θ = 36.96°, d 2.432, I = 58
- 2θ = 38.38°, d 2.345, I = 100
- 2θ = 49.03°, d 1.858, I = 26
- 2θ = 63.79°, d 1.459, I = 21
- 2θ = 70.16°, d 1.341, I = 20

```
data_Mg6NbSb
_chemical_formula_sum 'Mg6 Nb1 Sb1'
_cell_length_a 5.271
_cell_length_b 6.241
_cell_length_c 6.241
_cell_angle_alpha 57.06
_cell_angle_beta 90.00
_cell_angle_gamma 90.00
_symmetry_space_group_name_H-M 'P 1'
_symmetry_Int_Tables_number 1
loop_
_symmetry_equiv_pos_as_xyz
'x,y,z'
loop_
_atom_site_label
_atom_site_fract_x
_atom_site_fract_y
_atom_site_fract_z
Mg1 0.000 0.000 0.000
Mg2 0.000 0.008 0.487
Mg3 0.000 0.487 0.008
Mg4 0.000 0.491 0.491
Mg5 0.500 0.334 0.830
Mg6 0.500 0.830 0.334
Nb1 0.500 0.333 0.333
Sb1 0.500 0.833 0.833
```


# 2
Diffraction record for Mg6NbSb. The XRD peak list is theoretical, not measured: it uses a DFT-relaxed cell (PBE, the Materials Project) and λ = 1.5418 Å (Cu Kα).
No peak broadening, texture or thermal motion is included.

Largest 10 diffraction maxima, in order of rising 2θ, 2θ from 10° to 90°:
- 2θ = 16.24°, d 5.457, I = 85
- 2θ = 24.02°, d 3.704, I = 21
- 2θ = 24.26°, d 3.668, I = 31
- 2θ = 32.82°, d 2.729, I = 28
- 2θ = 33.89°, d 2.645, I = 36
- 2θ = 35.60°, d 2.522, I = 40
- 2θ = 37.47°, d 2.400, I = 100
- 2θ = 38.11°, d 2.361, I = 52
- 2θ = 65.17°, d 1.431, I = 19
- 2θ = 71.31°, d 1.323, I = 19

```
data_Mg6NbSb
_chemical_formula_sum 'Mg6 Nb1 Sb1'
_cell_length_a 5.044
_cell_length_b 6.215
_cell_length_c 6.215
_cell_angle_alpha 61.41
_cell_angle_beta 90.00
_cell_angle_gamma 90.00
_symmetry_space_group_name_H-M 'P 1'
_symmetry_Int_Tables_number 1
loop_
_symmetry_equiv_pos_as_xyz
'x,y,z'
loop_
_atom_site_label
_atom_site_fract_x
_atom_site_fract_y
_atom_site_fract_z
Mg1 0.000 0.000 0.000
Mg2 0.000 0.502 0.991
Mg3 0.000 0.991 0.502
Mg4 0.500 0.336 0.826
Mg5 0.500 0.826 0.336
Mg6 0.500 0.832 0.832
Nb1 0.000 0.498 0.498
Sb1 0.500 0.338 0.338
```


# 3
Diffraction record for Mg14NbSb. The XRD peak list is theoretical, not measured: it uses a DFT-relaxed cell (PBE, the Materials Project) and λ = 1.5418 Å (Cu Kα).
No peak broadening, texture or thermal motion is included.

Largest 10 diffraction maxima, in order of rising 2θ, 2θ from 10° to 90°:
- 2θ = 16.07°, d 5.514, I = 22
- 2θ = 17.25°, d 5.139, I = 19
- 2θ = 18.26°, d 4.859, I = 33
- 2θ = 33.01°, d 2.714, I = 29
- 2θ = 34.92°, d 2.570, I = 40
- 2θ = 37.00°, d 2.429, I = 53
- 2θ = 37.48°, d 2.400, I = 100
- 2θ = 48.81°, d 1.866, I = 19
- 2θ = 64.31°, d 1.449, I = 19
- 2θ = 69.77°, d 1.348, I = 19

```
data_Mg14NbSb
_chemical_formula_sum 'Mg14 Nb1 Sb1'
_cell_length_a 10.278
_cell_length_b 6.334
_cell_length_c 6.334
_cell_angle_alpha 58.97
_cell_angle_beta 90.00
_cell_angle_gamma 90.00
_symmetry_space_group_name_H-M 'P 1'
_symmetry_Int_Tables_number 1
loop_
_symmetry_equiv_pos_as_xyz
'x,y,z'
loop_
_atom_site_label
_atom_site_fract_x
_atom_site_fract_y
_atom_site_fract_z
Mg1 0.000 0.000 0.000
Mg2 0.000 0.000 0.501
Mg3 0.000 0.500 0.500
Mg4 0.000 0.501 0.000
Mg5 0.247 0.168 0.168
Mg6 0.252 0.172 0.662
Mg7 0.252 0.662 0.172
Mg8 0.253 0.663 0.663
Mg9 0.500 0.501 0.998
Mg10 0.500 0.998 0.501
Mg11 0.747 0.663 0.663
Mg12 0.748 0.172 0.662
Mg13 0.748 0.662 0.172
Mg14 0.753 0.168 0.168
Nb1 0.500 0.498 0.498
Sb1 0.500 0.003 0.003
```


# 4
Diffraction record for Mg6NbSn. The XRD peak list is theoretical, not measured: it uses a DFT-relaxed cell (PBE, the Materials Project) and λ = 1.5418 Å (Cu Kα).
No peak broadening, texture or thermal motion is included.

Largest 10 diffraction maxima, in order of rising 2θ, 2θ from 10° to 90°:
- 2θ = 16.03°, d 5.528, I = 54
- 2θ = 17.28°, d 5.133, I = 45
- 2θ = 23.65°, d 3.761, I = 43
- 2θ = 33.82°, d 2.650, I = 37
- 2θ = 34.96°, d 2.566, I = 41
- 2θ = 36.94°, d 2.434, I = 58
- 2θ = 38.22°, d 2.355, I = 100
- 2θ = 49.44°, d 1.843, I = 28
- 2θ = 64.87°, d 1.437, I = 21
- 2θ = 70.18°, d 1.341, I = 20

```
data_Mg6NbSn
_chemical_formula_sum 'Mg6 Nb1 Sn1'
_cell_length_a 5.133
_cell_length_b 6.299
_cell_length_c 6.299
_cell_angle_alpha 57.29
_cell_angle_beta 90.00
_cell_angle_gamma 90.00
_symmetry_space_group_name_H-M 'P 1'
_symmetry_Int_Tables_number 1
loop_
_symmetry_equiv_pos_as_xyz
'x,y,z'
loop_
_atom_site_label
_atom_site_fract_x
_atom_site_fract_y
_atom_site_fract_z
Mg1 0.000 0.000 0.000
Mg2 0.000 0.009 0.487
Mg3 0.000 0.487 0.009
Mg4 0.000 0.492 0.492
Mg5 0.500 0.334 0.831
Mg6 0.500 0.831 0.334
Nb1 0.500 0.335 0.335
Sn1 0.500 0.832 0.832
```


> Number 3 is which compound?

Mg14NbSb